Entry 1:
# Y3Cl2
Theoretical X-ray diffraction stick pattern, Cu Ka. Input: a cell relaxed with PBE.
Intensities are scaled so that the largest is 100.

The 6 most intense peaks (2θ from 15° to 90°), in order of rising 2θ:
29.0 deg, intensity 13; 29.8 deg, intensity 100; 39.3 deg, intensity 35; 45.7 deg, intensity 31; 51.9 deg, intensity 20; 55.5 deg, intensity 16

```
data_Y3Cl2
_cell_length_a 7.327
_cell_length_b 7.327
_cell_length_c 7.327
_cell_angle_alpha 55.93
_cell_angle_beta 55.93
_cell_angle_gamma 55.93
_space_group_name_H-M_alt 'P 1'
_space_group_IT_number 1
_space_group_name_Hall 'P 1'
loop_
_atom_site_label
_atom_site_type_symbol
_atom_site_fract_x
_atom_site_fract_y
_atom_site_fract_z
_atom_site_occupancy
Y1 Y 0.092 0.750 0.408 1
Y2 Y 0.250 0.592 0.908 1
Y3 Y 0.408 0.092 0.750 1
Y4 Y 0.592 0.908 0.250 1
Y5 Y 0.750 0.408 0.092 1
Y6 Y 0.908 0.250 0.592 1
Cl1 Cl 0.166 0.166 0.166 1
Cl2 Cl 0.334 0.334 0.334 1
Cl3 Cl 0.666 0.666 0.666 1
Cl4 Cl 0.834 0.834 0.834 1
```


Entry 2:
# In3I7O
Theoretical X-ray diffraction stick pattern, Cu Ka. Input: a cell relaxed with PBE.
Intensities are scaled so that the largest is 100.

The 6 most intense peaks (2θ from 15° to 90°), in order of rising 2θ:
28.0 deg, intensity 100; 34.9 deg, intensity 51; 44.3 deg, intensity 30; 44.6 deg, intensity 29; 53.5 deg, intensity 16; 67.9 deg, intensity 13

```
data_In3I7O
_cell_length_a 8.123
_cell_length_b 8.123
_cell_length_c 7.537
_cell_angle_alpha 90.00
_cell_angle_beta 90.00
_cell_angle_gamma 120.00
_space_group_name_H-M_alt 'P 1'
_space_group_IT_number 1
_space_group_name_Hall 'P 1'
loop_
_atom_site_label
_atom_site_type_symbol
_atom_site_fract_x
_atom_site_fract_y
_atom_site_fract_z
_atom_site_occupancy
In1 In 0.037 0.519 0.000 1
In2 In 0.481 0.519 0.000 1
In3 In 0.481 0.963 0.000 1
I1 I 0.163 0.326 0.250 1
I2 I 0.163 0.837 0.250 1
I3 I 0.330 0.165 0.780 1
I4 I 0.667 0.333 0.229 1
I5 I 0.674 0.837 0.250 1
I6 I 0.835 0.165 0.780 1
I7 I 0.835 0.670 0.780 1
O1 O 0.333 0.667 0.908 1
```


Entry 3:
# La2Nd2Te2Se3
Theoretical X-ray diffraction stick pattern, Cu Ka. Input: a cell relaxed with PBE.
Intensities are scaled so that the largest is 100.

The 6 most intense peaks (2θ from 15° to 90°), in order of rising 2θ:
30.9 deg, intensity 100; 31.0 deg, intensity 50; 31.6 deg, intensity 61; 44.2 deg, intensity 37; 44.7 deg, intensity 46; 73.0 deg, intensity 21

```
data_La2Nd2Te2Se3
_cell_length_a 9.098
_cell_length_b 9.098
_cell_length_c 9.098
_cell_angle_alpha 142.85
_cell_angle_beta 142.85
_cell_angle_gamma 53.55
_space_group_name_H-M_alt 'P 1'
_space_group_IT_number 1
_space_group_name_Hall 'P 1'
loop_
_atom_site_label
_atom_site_type_symbol
_atom_site_fract_x
_atom_site_fract_y
_atom_site_fract_z
_atom_site_occupancy
La1 La 0.196 0.196 0.000 1
La2 La 0.804 0.804 0.000 1
Nd1 Nd 0.000 0.500 0.500 1
Nd2 Nd 0.500 0.000 0.500 1
Te1 Te 0.395 0.395 0.000 1
Te2 Te 0.605 0.605 0.000 1
Se1 Se 0.000 0.000 0.000 1
Se2 Se 0.250 0.750 0.500 1
Se3 Se 0.750 0.250 0.500 1
```


Entry 4:
# La5Pr2DyTh
Theoretical X-ray diffraction stick pattern, Cu Ka. Input: a cell relaxed with PBE.
Intensities are scaled so that the largest is 100.

The 6 most intense peaks (2θ from 15° to 90°), in order of rising 2θ:
30.1 deg, intensity 18; 30.8 deg, intensity 100; 32.0 deg, intensity 32; 32.3 deg, intensity 20; 33.8 deg, intensity 19; 56.3 deg, intensity 20

```
data_La5Pr2DyTh
_cell_length_a 11.408
_cell_length_b 11.408
_cell_length_c 10.619
_cell_angle_alpha 90.00
_cell_angle_beta 90.00
_cell_angle_gamma 151.61
_space_group_name_H-M_alt 'P 1'
_space_group_IT_number 1
_space_group_name_Hall 'P 1'
loop_
_atom_site_label
_atom_site_type_symbol
_atom_site_fract_x
_atom_site_fract_y
_atom_site_fract_z
_atom_site_occupancy
La1 La 0.000 0.000 0.000 1
La2 La 0.000 0.000 0.500 1
La3 La 0.131 0.869 0.750 1
La4 La 0.224 0.776 0.059 1
La5 La 0.224 0.776 0.441 1
La6 La 0.498 0.502 0.750 1
La7 La 0.502 0.498 0.250 1
La8 La 0.776 0.224 0.559 1
La9 La 0.776 0.224 0.941 1
La10 La 0.869 0.131 0.250 1
Pr1 Pr 0.388 0.612 0.001 1
Pr2 Pr 0.388 0.612 0.499 1
Pr3 Pr 0.612 0.388 0.501 1
Pr4 Pr 0.612 0.388 0.999 1
Dy1 Dy 0.103 0.897 0.250 1
Dy2 Dy 0.897 0.103 0.750 1
Th1 Th 0.291 0.709 0.750 1
Th2 Th 0.709 0.291 0.250 1
```